# TlIrWO6
Computed PXRD pattern, Cu Ka. Input: a crystal structure in Alexandria, relaxed with PBE+U.
Neutral-atom scattering factors, no anomalous dispersion.

Cell and atoms:
Lattice parameters (Å, degrees): 7.179 7.395 10.394 90.00 90.00 90.00
Space group Imma (No. 74)
Asymmetric unit:
Tl 0.000 0.250 0.092
Ir 0.250 0.250 0.750
W 0.000 0.000 0.500
O 0.000 0.250 0.438
O 0.000 0.250 0.819
O 0.194 0.061 0.621

The 10 most intense peaks (10° ≤ 2θ ≤ 90°), sorted by position:
- 2θ = 14.70°, 6.026 Å, I 15, (0 1 1)
- 2θ = 24.33°, 3.658 Å, I 20, (1 1 2)
- 2θ = 28.47°, 3.135 Å, I 100, (0 1 3)
- 2θ = 28.95°, 3.084 Å, I 44, (2 1 1)
- 2θ = 29.65°, 3.013 Å, I 19, (0 2 2)
- 2θ = 30.26°, 2.954 Å, I 44, (2 0 2)
- 2θ = 45.45°, 1.995 Å, I 18, (1 0 5)
- 2θ = 46.04°, 1.972 Å, I 18, (3 2 1)
- 2θ = 49.85°, 1.829 Å, I 32, (2 2 4)
- 2θ = 58.90°, 1.568 Å, I 29, (0 2 6)